This entry pairs a crystal structure of Na7AlH2C4O12F4 with its calculated X-ray diffraction stick pattern. Radiation: Cu Kα. Structure: a GGA-PBE-relaxed structure.

Peak list (10 most intense, 2θ from 15° to 90°, sorted by position)
h k l, Position (°2θ), I (rel.)
0 0 3, 30.6, 44
0 2 1, 30.8, 17
2 2 1, 31.6, 100
0 2 -1, 33.1, 55
2 0 -1, 33.4, 23
2 2 2, 34.8, 18
2 0 -2, 38.4, 23
0 0 4, 41.2, 16
2 2 4, 48.2, 26
2 4 1, 54.1, 16

Cell: 6.561 6.784 8.886 Å, 80.89 82.86 61.29°
Fractional positions:
1 Na 0.000 0.000 0.000
2 Na 0.000 0.500 0.000
3 Na 0.341 0.382 0.644
4 Na 0.341 0.888 0.642
5 Na 0.500 0.500 0.000
6 Na 0.659 0.112 0.358
7 Na 0.659 0.618 0.356
8 Al 0.500 0.000 0.000
9 H 0.004 0.737 0.495
10 H 0.996 0.263 0.505
11 C 0.178 0.613 0.300
12 C 0.187 0.111 0.285
13 C 0.813 0.889 0.715
14 C 0.822 0.387 0.700
15 O 0.023 0.762 0.660
16 O 0.025 0.268 0.618
17 O 0.162 0.634 0.157
18 O 0.218 0.111 0.136
19 O 0.356 0.993 0.373
20 O 0.362 0.492 0.373
21 O 0.638 0.508 0.627
22 O 0.644 0.007 0.627
23 O 0.782 0.889 0.864
24 O 0.838 0.366 0.843
25 O 0.975 0.732 0.382
26 O 0.977 0.238 0.340
27 F 0.359 0.894 0.892
28 F 0.365 0.284 0.894
29 F 0.635 0.716 0.106
30 F 0.641 0.106 0.108